(1)
Calculated powder XRD pattern
Compound: PSe4Br3
Radiation: Cu Kα (weighted mean of Kα1 and Kα2)
Structure: DFT lattice parameters and positions (PBE)

Cell and atoms:
```
data_PSe4Br3
_chemical_formula_sum 'P2 Se8 Br6'
_cell_length_a 8.4833
_cell_length_b 10.3180
_cell_length_c 7.9749
_cell_angle_alpha 90.00
_cell_angle_beta 90.00
_cell_angle_gamma 90.00
_symmetry_space_group_name_H-M 'I m m 2'
_symmetry_Int_Tables_number 44
loop_
_symmetry_equiv_pos_as_xyz
'x,y,z'
'-x,-y,z'
'-x,y,z'
'x,-y,z'
'x+1/2,y+1/2,z+1/2'
'-x+1/2,-y+1/2,z+1/2'
'-x+1/2,y+1/2,z+1/2'
'x+1/2,-y+1/2,z+1/2'
loop_
_atom_site_label
_atom_site_type_symbol
_atom_site_fract_x
_atom_site_fract_y
_atom_site_fract_z
P1 P 0.0000 0.0000 0.0000
Se1 Se 0.0000 0.2097 0.1157
Se2 Se 0.1536 0.0000 0.7718
Br1 Br 0.0000 0.1796 0.4058
Br2 Br 0.0000 0.5000 0.1793
```

The 10 most intense peaks (10 to 80 degrees two-theta), sorted by position:
(hkl), two_theta, I (rel.)
1 1 0, 13.51, 64
0 1 1, 14.04, 70
1 0 1, 15.25, 78
2 0 0, 20.94, 73
1 2 1, 23.05, 50
0 3 1, 28.27, 100
3 0 1, 33.63, 53
0 4 0, 34.82, 34
1 0 3, 35.40, 56
3 3 0, 41.33, 37

---

(2)
Calculated powder XRD pattern
Compound: PmPaSb3
Radiation: Cu Kα (weighted mean of Kα1 and Kα2)
Structure: DFT lattice parameters and positions (PBE)

Cell and atoms:
```
data_PmPaSb3
_chemical_formula_sum 'Pm4 Pa4 Sb12'
_cell_length_a 14.3429
_cell_length_b 6.1328
_cell_length_c 6.3939
_cell_angle_alpha 90.00
_cell_angle_beta 90.00
_cell_angle_gamma 90.00
_symmetry_space_group_name_H-M 'P b c m'
_symmetry_Int_Tables_number 57
loop_
_symmetry_equiv_pos_as_xyz
'x,y,z'
'-x,-y,-z'
'-x,-y,z+1/2'
'x,y,-z+1/2'
'x,-y+1/2,-z'
'-x,y+1/2,z'
'-x,y+1/2,-z+1/2'
'x,-y+1/2,z+1/2'
loop_
_atom_site_label
_atom_site_type_symbol
_atom_site_fract_x
_atom_site_fract_y
_atom_site_fract_z
Pm1 Pm 0.1712 0.0209 0.2500
Pa1 Pa 0.4101 0.7500 0.0000
Sb1 Sb 0.0036 0.7500 0.0000
Sb2 Sb 0.2391 0.5254 0.2500
Sb3 Sb 0.4020 0.1987 0.2500
```

The 10 most intense peaks (10 to 80 degrees two-theta), sorted by position:
(hkl), two_theta, I (rel.)
2 0 2, 30.62, 80
5 0 0, 31.18, 93
2 2 0, 31.74, 100
1 1 2, 32.17, 50
3 0 2, 33.73, 36
2 1 2, 34.01, 74
3 2 0, 34.76, 48
3 1 2, 36.86, 89
0 2 2, 40.77, 67
5 2 2, 52.21, 37

---

(3)
Calculated powder XRD pattern
Compound: ZnCu4Ni
Radiation: Cu Kα (weighted mean of Kα1 and Kα2)
Structure: DFT lattice parameters and positions (PBE)

Cell and atoms:
```
data_ZnCu4Ni
_chemical_formula_sum 'Zn4 Cu16 Ni4'
_cell_length_a 6.7211
_cell_length_b 6.7211
_cell_length_c 6.7211
_cell_angle_alpha 90.00
_cell_angle_beta 90.00
_cell_angle_gamma 90.00
_symmetry_space_group_name_H-M 'F -4 3 m'
_symmetry_Int_Tables_number 216
_symmetry_space_group_name_Hall 'F -4 2 3'
loop_
_atom_site_label
_atom_site_type_symbol
_atom_site_fract_x
_atom_site_fract_y
_atom_site_fract_z
Zn1 Zn 0.0000 0.0000 0.0000
Cu1 Cu 0.1248 0.1248 0.6248
Ni1 Ni 0.2500 0.2500 0.2500
```

The 8 most intense peaks (10 to 80 degrees two-theta), sorted by position:
(hkl), two_theta, I (rel.)
1 1 1, 22.92, 6
2 2 0, 37.86, 28
3 1 1, 44.72, 100
2 2 2, 46.82, 40
4 0 0, 54.62, 5
3 3 1, 60.00, 1
4 2 2, 68.38, 9
5 1 1, 73.17, 27

---

Q: Which formula does entry 1 have?
A: PSe4Br3